Record 1
This entry pairs a crystal structure of Cu11PdN4 with its computed X-ray powder pattern. Radiation: Cu Kα (λ = 1.5418 Å). Structure: a DFT-relaxed cell (PBE, the Materials Project).

Top 8 peaks for 2θ = 10–90°, by angle:
two_theta, I_rel, index
22.68, 16, 0 0 1
23.38, 46, 2 0 0
32.80, 19, 2 0 1
40.67, 100, 2 2 1
46.32, 21, 0 0 2
47.81, 38, 4 0 0
68.76, 23, 4 0 2
84.16, 22, 6 2 1

Cell and atoms:
a b c (Å): 7.6100 7.6100 3.9202
angles (deg): 90.00 90.00 90.00
Space group P4/mmm (No. 123)
One atom of each set of equivalent atoms:
Cu (0.0000, 0.0000, 0.0000) (multiplicity 1)
Cu (0.0000, 0.2501, 0.5000) (multiplicity 4)
Cu (0.0000, 0.5000, 0.0000) (multiplicity 2)
Cu (0.2494, 0.5000, 0.5000) (multiplicity 4)
Pd (0.5000, 0.5000, 0.0000) (multiplicity 1)
N (0.0000, 0.0000, 0.5000) (multiplicity 1)
N (0.0000, 0.5000, 0.5000) (multiplicity 2)
N (0.5000, 0.5000, 0.5000) (multiplicity 1)

---

Record 2
This entry pairs a crystal structure of Cu11PdN4 with its computed X-ray powder pattern. Radiation: Cu Kα (λ = 1.5418 Å). Structure: a DFT-relaxed cell (PBE, the Materials Project).

Top 8 peaks for 2θ = 10–90°, by angle:
two_theta, I_rel, index
11.85, 40, 1 0 0
33.95, 18, 2 2 0
35.76, 19, 2 1 1
41.63, 100, 2 2 1
47.79, 21, 0 0 2
48.77, 38, 4 0 0
70.67, 23, 4 0 2
86.24, 21, 6 2 1

Cell and atoms:
a b c (Å): 7.4686 7.4686 3.8066
angles (deg): 90.00 90.00 90.00
Space group P4/mmm (No. 123)
One atom of each set of equivalent atoms:
Cu (0.0000, 0.0000, 0.0000) (multiplicity 1)
Cu (0.0000, 0.5000, 0.0000) (multiplicity 2)
Cu (0.2408, 0.2408, 0.0000) (multiplicity 4)
Cu (0.2422, 0.5000, 0.5000) (multiplicity 4)
Pd (0.5000, 0.5000, 0.0000) (multiplicity 1)
N (0.0000, 0.0000, 0.5000) (multiplicity 1)
N (0.0000, 0.5000, 0.5000) (multiplicity 2)
N (0.5000, 0.5000, 0.5000) (multiplicity 1)

---

What did the first record say?
This entry pairs a crystal structure of Cu11PdN4 with its computed X-ray powder pattern. Radiation: Cu Kα (λ = 1.5418 Å). Structure: a DFT-relaxed cell (PBE, the Materials Project).

Top 8 peaks for 2θ = 10–90°, by angle:
two_theta, I_rel, index
22.68, 16, 0 0 1
23.38, 46, 2 0 0
32.80, 19, 2 0 1
40.67, 100, 2 2 1
46.32, 21, 0 0 2
47.81, 38, 4 0 0
68.76, 23, 4 0 2
84.16, 22, 6 2 1

Cell and atoms:
a b c (Å): 7.6100 7.6100 3.9202
angles (deg): 90.00 90.00 90.00
Space group P4/mmm (No. 123)
One atom of each set of equivalent atoms:
Cu (0.0000, 0.0000, 0.0000) (multiplicity 1)
Cu (0.0000, 0.2501, 0.5000) (multiplicity 4)
Cu (0.0000, 0.5000, 0.0000) (multiplicity 2)
Cu (0.2494, 0.5000, 0.5000) (multiplicity 4)
Pd (0.5000, 0.5000, 0.0000) (multiplicity 1)
N (0.0000, 0.0000, 0.5000) (multiplicity 1)
N (0.0000, 0.5000, 0.5000) (multiplicity 2)
N (0.5000, 0.5000, 0.5000) (multiplicity 1)